The following is a simulated X-ray powder pattern of HoCu3Te3. It was derived from a crystal structure in the Materials Project, relaxed with PBE, using Cu Kα.
Kinematic intensities with the Lorentz-polarization factor, no thermal factor.

Peak list (10 most intense, 2θ from 10° to 90°, low angle first)
2θ 14.40, intensity 15.1; 2θ 27.17, intensity 100.0; 2θ 35.20, intensity 86.2; 2θ 42.14, intensity 89.8; 2θ 45.88, intensity 54.2; 2θ 50.86, intensity 17.7; 2θ 56.03, intensity 23.6; 2θ 64.04, intensity 19.3; 2θ 72.53, intensity 19.8; 2θ 79.68, intensity 20.2

Atomic structure:
```
HoCu3Te3
1.0
3.714 2.144 7.010
-3.714 2.144 7.010
0.000 -4.289 7.010
Ho Cu Te
2 6 6
direct
0.166 0.166 0.166 Ho
0.834 0.834 0.834 Ho
0.034 0.717 0.373 Cu
0.283 0.627 0.966 Cu
0.373 0.034 0.717 Cu
0.627 0.966 0.283 Cu
0.717 0.373 0.034 Cu
0.966 0.283 0.627 Cu
0.089 0.418 0.745 Te
0.255 0.911 0.582 Te
0.418 0.745 0.089 Te
0.582 0.255 0.911 Te
0.745 0.089 0.418 Te
0.911 0.582 0.255 Te
```

=====

The following is a simulated X-ray powder pattern of HoTmCu2. It was derived from a crystal structure in the Materials Project, relaxed with PBE, using Cu Kα.
Kinematic intensities with the Lorentz-polarization factor, no thermal factor.

Peak list (8 most intense, 2θ from 10° to 90°, low angle first)
2θ 25.99, intensity 20.8; 2θ 37.09, intensity 100.0; 2θ 45.85, intensity 6.3; 2θ 53.46, intensity 17.2; 2θ 60.38, intensity 8.8; 2θ 66.85, intensity 34.6; 2θ 79.00, intensity 10.7; 2θ 84.85, intensity 4.6

Atomic structure:
```
HoTmCu2
1.0
0.000 3.428 3.428
3.428 0.000 3.428
3.428 3.428 0.000
Ho Tm Cu
1 1 2
direct
0.000 0.000 0.000 Ho
0.500 0.500 0.500 Tm
0.250 0.250 0.250 Cu
0.750 0.750 0.750 Cu
```

=====

The following is a simulated X-ray powder pattern of YHoCu2. It was derived from a crystal structure in the Materials Project, relaxed with PBE, using Cu Kα.
Kinematic intensities with the Lorentz-polarization factor, no thermal factor.

Peak list (10 most intense, 2θ from 10° to 90°, low angle first)
2θ 22.28, intensity 7.7; 2θ 25.78, intensity 10.8; 2θ 36.78, intensity 100.0; 2θ 43.42, intensity 4.4; 2θ 45.45, intensity 3.2; 2θ 52.99, intensity 17.1; 2θ 59.84, intensity 4.5; 2θ 66.24, intensity 34.0; 2θ 78.23, intensity 10.4; 2θ 89.72, intensity 15.1

Atomic structure:
```
YHoCu2
1.0
0.000 3.456 3.456
3.456 0.000 3.456
3.456 3.456 0.000
Y Ho Cu
1 1 2
direct
0.000 0.000 0.000 Y
0.500 0.500 0.500 Ho
0.250 0.250 0.250 Cu
0.750 0.750 0.750 Cu
```